Tl2B2SbO6: computed XRD peak list (a wavelength of 1.5418 Å), based on a structure optimized by DFT (PBE).
No peak broadening, texture or thermal motion is included.

Crystal structure
Unit cell a=7.738 b=7.738 c=7.738 alpha=40.07 beta=40.07 gamma=40.07
Fractional coordinates of all 11 atoms:
Tl 0.215 0.215 0.215
Tl 0.785 0.785 0.785
B 0.392 0.392 0.392
B 0.608 0.608 0.608
Sb 0.000 0.000 0.000
O 0.244 0.244 0.698
O 0.244 0.698 0.244
O 0.302 0.756 0.756
O 0.698 0.244 0.244
O 0.756 0.302 0.756
O 0.756 0.756 0.302

Principal peaks in the range 10 to 90 degrees two-theta, in order of rising 2θ:
19.78°, d 4.489, I = 30
21.07°, d 4.217, I = 31
25.61°, d 3.479, I = 50
28.57°, d 3.125, I = 100
33.81°, d 2.651, I = 60
42.89°, d 2.108, I = 24
51.75°, d 1.766, I = 36
57.32°, d 1.607, I = 25


Zr5Zn3: computed XRD peak list (a wavelength of 1.5418 Å), based on a structure optimized by DFT (PBE).
No peak broadening, texture or thermal motion is included.

Crystal structure
Unit cell a=7.154 b=6.163 c=5.757 alpha=73.68 beta=55.77 gamma=50.55
Fractional coordinates of all 8 atoms:
Zr 0.000 0.000 0.000
Zr 0.421 0.421 0.079
Zr 0.456 0.891 0.109
Zr 0.891 0.456 0.544
Zr 0.921 0.921 0.579
Zn 0.053 0.462 0.947
Zn 0.462 0.053 0.538
Zn 0.485 0.485 0.515

Principal peaks in the range 10 to 90 degrees two-theta, in order of rising 2θ:
32.42°, d 2.762, I = 12
33.03°, d 2.712, I = 23
33.88°, d 2.646, I = 16
37.36°, d 2.407, I = 32
38.09°, d 2.363, I = 100
38.83°, d 2.319, I = 44
60.07°, d 1.540, I = 16
72.92°, d 1.297, I = 14


TaTi4Ga2: computed XRD peak list (a wavelength of 1.5418 Å), based on a structure optimized by DFT (PBE).
No peak broadening, texture or thermal motion is included.

Crystal structure
Unit cell a=6.016 b=6.016 c=6.016 alpha=130.04 beta=130.04 gamma=73.34
Fractional coordinates of all 7 atoms:
Ta 0.000 0.000 0.000
Ti 0.000 0.500 0.500
Ti 0.250 0.750 0.500
Ti 0.500 0.000 0.500
Ti 0.750 0.250 0.500
Ga 0.355 0.355 0.000
Ga 0.645 0.645 0.000

Principal peaks in the range 10 to 90 degrees two-theta, in order of rising 2θ:
18.39°, d 4.826, I = 19
19.75°, d 4.496, I = 25
31.03°, d 2.882, I = 21
32.95°, d 2.718, I = 89
35.33°, d 2.540, I = 100
49.09°, d 1.856, I = 58
50.83°, d 1.796, I = 34
85.44°, d 1.136, I = 24


Cd8Hg3: computed XRD peak list (a wavelength of 1.5418 Å), based on a structure optimized by DFT (PBE).
No peak broadening, texture or thermal motion is included.

Crystal structure
Unit cell a=6.790 b=6.790 c=6.790 alpha=99.35 beta=99.35 gamma=99.35
Fractional coordinates of all 11 atoms:
Cd 0.154 0.154 0.154
Cd 0.176 0.431 0.609
Cd 0.391 0.824 0.569
Cd 0.431 0.609 0.176
Cd 0.569 0.391 0.824
Cd 0.609 0.176 0.431
Cd 0.824 0.569 0.391
Cd 0.846 0.846 0.846
Hg 0.000 0.000 0.500
Hg 0.000 0.500 0.000
Hg 0.500 0.000 0.000

Principal peaks in the range 10 to 90 degrees two-theta, in order of rising 2θ:
27.13°, d 3.286, I = 55
27.70°, d 3.221, I = 24
27.90°, d 3.198, I = 100
32.26°, d 2.774, I = 95
34.66°, d 2.588, I = 33
41.35°, d 2.184, I = 43
44.93°, d 2.018, I = 74
68.64°, d 1.367, I = 24


Ce2Sm6Dy3Y: computed XRD peak list (a wavelength of 1.5418 Å), based on a structure optimized by DFT (PBE).
No peak broadening, texture or thermal motion is included.

Crystal structure
Unit cell a=6.210 b=6.210 c=11.883 alpha=95.01 beta=95.01 gamma=120.01
Fractional coordinates of all 12 atoms:
Ce 0.167 0.833 0.000
Ce 0.833 0.167 0.000
Sm 0.080 0.416 0.750
Sm 0.248 0.248 0.250
Sm 0.416 0.080 0.750
Sm 0.584 0.920 0.250
Sm 0.752 0.752 0.750
Sm 0.920 0.584 0.250
Dy 0.000 0.000 0.500
Dy 0.334 0.666 0.500
Dy 0.666 0.334 0.500
Y 0.500 0.500 0.000

Principal peaks in the range 10 to 90 degrees two-theta, in order of rising 2θ:
30.55°, d 2.927, I = 100
35.42°, d 2.535, I = 51
50.96°, d 1.792, I = 36
60.58°, d 1.528, I = 43
63.58°, d 1.463, I = 12
83.02°, d 1.163, I = 10
83.08°, d 1.162, I = 7
85.71°, d 1.133, I = 16


Ho2Te: computed XRD peak list (a wavelength of 1.5418 Å), based on a structure optimized by DFT (PBE).
No peak broadening, texture or thermal motion is included.

Crystal structure
Unit cell a=15.126 b=3.920 c=6.114 alpha=90.00 beta=90.00 gamma=90.00
Fractional coordinates of all 12 atoms:
Ho 0.023 0.250 0.228
Ho 0.194 0.750 0.972
Ho 0.306 0.250 0.472
Ho 0.477 0.750 0.728
Ho 0.523 0.250 0.272
Ho 0.694 0.750 0.528
Ho 0.806 0.250 0.028
Ho 0.977 0.750 0.772
Te 0.148 0.750 0.479
Te 0.352 0.250 0.979
Te 0.648 0.750 0.021
Te 0.852 0.250 0.521

Principal peaks in the range 10 to 90 degrees two-theta, in order of rising 2θ:
25.59°, d 3.480, I = 60
27.02°, d 3.300, I = 49
29.53°, d 3.025, I = 50
31.57°, d 2.834, I = 100
32.91°, d 2.722, I = 100
37.83°, d 2.378, I = 38
39.22°, d 2.297, I = 82
46.32°, d 1.960, I = 39


AcTa4Ge2: computed XRD peak list (a wavelength of 1.5418 Å), based on a structure optimized by DFT (PBE).
No peak broadening, texture or thermal motion is included.

Crystal structure
Unit cell a=7.459 b=7.459 c=4.633 alpha=90.00 beta=90.00 gamma=142.79
Fractional coordinates of all 7 atoms:
Ac 0.000 0.000 0.000
Ta 0.192 0.808 0.500
Ta 0.297 0.703 0.000
Ta 0.703 0.297 0.000
Ta 0.808 0.192 0.500
Ge 0.400 0.600 0.500
Ge 0.600 0.400 0.500

Principal peaks in the range 10 to 90 degrees two-theta, in order of rising 2θ:
12.52°, d 7.069, I = 37
31.84°, d 2.810, I = 18
33.00°, d 2.714, I = 100
37.81°, d 2.380, I = 35
38.88°, d 2.316, I = 32
41.97°, d 2.153, I = 35
53.07°, d 1.726, I = 22
55.35°, d 1.660, I = 23


Na2ZnPbF8: computed XRD peak list (a wavelength of 1.5418 Å), based on a structure optimized by DFT (PBE).
No peak broadening, texture or thermal motion is included.

Crystal structure
Unit cell a=5.106 b=6.892 c=5.131 alpha=90.00 beta=94.04 gamma=90.00
Fractional coordinates of all 12 atoms:
Na 0.000 0.232 0.000
Na 0.000 0.768 0.000
Zn 0.500 0.000 0.500
Pb 0.500 0.500 0.500
F 0.203 0.500 0.200
F 0.232 0.000 0.230
F 0.315 0.264 0.682
F 0.315 0.736 0.682
F 0.685 0.264 0.318
F 0.685 0.736 0.318
F 0.768 0.000 0.770
F 0.797 0.500 0.800

Principal peaks in the range 10 to 90 degrees two-theta, in order of rising 2θ:
12.85°, d 6.892, I = 28
17.37°, d 5.105, I = 100
21.66°, d 4.102, I = 36
23.76°, d 3.744, I = 52
25.53°, d 3.489, I = 39
31.32°, d 2.856, I = 63
35.40°, d 2.536, I = 39
48.69°, d 1.870, I = 23


Dy5Ir2Au: computed XRD peak list (a wavelength of 1.5418 Å), based on a structure optimized by DFT (PBE).
No peak broadening, texture or thermal motion is included.

Crystal structure
Unit cell a=8.602 b=8.602 c=8.602 alpha=127.10 beta=127.10 gamma=78.09
Fractional coordinates of all 16 atoms:
Dy 0.000 0.000 0.000
Dy 0.025 0.525 0.825
Dy 0.200 0.025 0.500
Dy 0.300 0.800 0.825
Dy 0.475 0.300 0.500
Dy 0.500 0.500 0.000
Dy 0.525 0.700 0.500
Dy 0.700 0.200 0.175
Dy 0.800 0.975 0.500
Dy 0.975 0.475 0.175
Ir 0.138 0.362 0.500
Ir 0.362 0.862 0.224
Ir 0.638 0.138 0.776
Ir 0.862 0.638 0.500
Au 0.250 0.250 0.000
Au 0.750 0.750 0.000

Principal peaks in the range 10 to 90 degrees two-theta, in order of rising 2θ:
31.46°, d 2.843, I = 14
32.99°, d 2.715, I = 100
35.66°, d 2.518, I = 24
37.10°, d 2.423, I = 54
42.93°, d 2.107, I = 22
53.44°, d 1.714, I = 18
68.19°, d 1.375, I = 16
69.34°, d 1.355, I = 18


TbFeAg: computed XRD peak list (a wavelength of 1.5418 Å), based on a structure optimized by DFT (PBE).
No peak broadening, texture or thermal motion is included.

Crystal structure
Unit cell a=6.668 b=6.668 c=4.945 alpha=101.41 beta=101.41 gamma=33.69
Fractional coordinates of all 6 atoms:
Tb 0.126 0.126 0.328
Tb 0.874 0.874 0.672
Fe 0.232 0.232 0.907
Fe 0.768 0.768 0.093
Ag 0.428 0.428 0.217
Ag 0.572 0.572 0.783

Principal peaks in the range 10 to 90 degrees two-theta, in order of rising 2θ:
31.36°, d 2.852, I = 59
31.59°, d 2.832, I = 43
34.37°, d 2.609, I = 100
36.97°, d 2.431, I = 40
37.37°, d 2.407, I = 25
39.04°, d 2.307, I = 40
43.64°, d 2.074, I = 25
47.03°, d 1.932, I = 31


BeIr2Rh: computed XRD peak list (a wavelength of 1.5418 Å), based on a structure optimized by DFT (PBE).
No peak broadening, texture or thermal motion is included.

Crystal structure
Unit cell a=2.740 b=3.904 c=5.117 alpha=90.00 beta=105.33 gamma=90.00
Fractional coordinates of all 4 atoms:
Be 0.000 0.000 0.000
Ir 0.150 0.500 0.284
Ir 0.769 0.000 0.522
Rh 0.417 0.500 0.817

Principal peaks in the range 10 to 90 degrees two-theta, in order of rising 2θ:
17.98°, d 4.935, I = 44
29.17°, d 3.062, I = 38
41.28°, d 2.187, I = 100
42.88°, d 2.109, I = 25
43.04°, d 2.102, I = 25
43.38°, d 2.086, I = 64
46.52°, d 1.952, I = 28
65.12°, d 1.433, I = 15


CoTc2Te: computed XRD peak list (a wavelength of 1.5418 Å), based on a structure optimized by DFT (PBE).
No peak broadening, texture or thermal motion is included.

Crystal structure
Unit cell a=2.929 b=3.960 c=5.517 alpha=90.00 beta=99.54 gamma=90.00
Fractional coordinates of all 4 atoms:
Co 0.000 0.000 0.000
Tc 0.413 0.500 0.782
Tc 0.587 0.500 0.218
Te 0.000 0.000 0.500

Principal peaks in the range 10 to 90 degrees two-theta, in order of rising 2θ:
27.86°, d 3.202, I = 19
32.59°, d 2.747, I = 24
38.58°, d 2.334, I = 100
40.22°, d 2.242, I = 95
41.66°, d 2.168, I = 29
45.83°, d 1.980, I = 35
49.70°, d 1.835, I = 27
69.90°, d 1.346, I = 20